The following is a theoretical powder diffractogram of Li3Mn5Cu2O12. It was derived from a GGA+U-relaxed structure, using copper Kα.
Neutral-atom scattering factors, no anomalous dispersion.

Largest 8 diffraction maxima, most intense first, 2θ = 10–90°:
d_spacing, 2θ/deg, I/Imax
2.089, 43.32, 1000
4.843, 18.32, 631
2.189, 41.24, 553
3.926, 22.65, 528
4.439, 20.00, 351
1.523, 60.83, 318
2.452, 36.66, 277
1.500, 61.87, 259

Atomic structure:
```
Li3Mn5Cu2O12
1.0
2.6662 -4.4385 0.0000
2.6662 4.4385 0.0000
-1.4035 0.0000 9.6866
Li Mn Cu O
3 5 2 12
Direct
0.0000 0.0000 0.0000
0.0538 0.4058 0.2362
0.5942 0.9462 0.7638
0.3335 0.6665 0.0000
0.4161 0.0791 0.2446
0.5074 0.4926 0.5000
0.8439 0.1561 0.5000
0.9209 0.5839 0.7554
0.1710 0.8290 0.5000
0.6511 0.3489 0.0000
0.1098 0.7411 0.1325
0.1732 0.1492 0.3893
0.1802 0.5150 0.6014
0.2589 0.8902 0.8675
0.3667 0.3726 0.1059
0.4850 0.8198 0.3986
0.6079 0.2459 0.6330
0.6274 0.6333 0.8941
0.6625 0.0524 0.1032
0.7541 0.3921 0.3670
0.8508 0.8268 0.6107
0.9476 0.3375 0.8968
```